This entry pairs a crystal structure of TaTiCuS4 with its computed X-ray powder pattern. Radiation: Cu Kα. Structure: DFT lattice parameters and positions (GGA-PBE).

Crystal structure
```
data_TaTiCuS4
_chemical_formula_sum 'Ta2 Ti2 Cu2 S8'
_symmetry_space_group_name_H-M 'P 1'
_symmetry_Int_Tables_number 1
_symmetry_space_group_name_Hall 'P 1'
_cell_length_a 7.108
_cell_length_b 7.108
_cell_length_c 7.108
_cell_angle_alpha 120.86
_cell_angle_beta 119.14
_cell_angle_gamma 90.01
loop_
_atom_site_label
_atom_site_fract_x
_atom_site_fract_y
_atom_site_fract_z
Ta1 0.500 0.000 0.000
Ta2 0.500 0.500 0.500
Ti1 0.000 0.000 0.000
Ti2 0.500 0.000 0.500
Cu1 0.124 0.374 0.750
Cu2 0.876 0.626 0.250
S1 0.251 0.246 0.005
S2 0.254 0.244 0.491
S3 0.254 0.763 0.009
S4 0.258 0.754 0.505
S5 0.742 0.246 0.495
S6 0.746 0.237 0.991
S7 0.746 0.756 0.509
S8 0.749 0.754 0.995
```

Largest 10 diffraction maxima, in order of rising 2θ, 2θ from 5° to 70°:
2theta, I_rel
15.1, 83
17.6, 28
24.7, 30
29.4, 50
29.7, 100
35.7, 73
46.7, 31
46.9, 18
50.7, 19
51.4, 72